BaCd4Pb: simulated powder XRD pattern (CuKα), based on the PBE geometry in Alexandria.
Neutral-atom scattering factors, no anomalous dispersion.

Main lines, by angle (2θ = 10–80°):
| Position (°2θ) | I_rel |
| --- | --- |
| 13.7 | 139 |
| 27.7 | 202 |
| 28.0 | 1000 |
| 29.7 | 155 |
| 31.0 | 305 |
| 36.3 | 483 |
| 36.8 | 356 |
| 39.0 | 379 |
| 39.4 | 230 |
| 40.4 | 149 |
| 47.0 | 197 |
| 65.2 | 142 |

Structure:
a = 10.1430 Å, b = 10.1430 Å, c = 10.1430 Å
α = 101.16°, β = 101.16°, γ = 127.79°
Positions (direct):
Ba 0.2287 0.2287 0.0000
Ba 0.2500 0.7500 0.5000
Ba 0.7500 0.2500 0.5000
Ba 0.7713 0.7713 0.0000
Cd 0.1089 0.2710 0.3799
Cd 0.1089 0.7290 0.8379
Cd 0.1334 0.1334 0.6408
Cd 0.1334 0.4926 0.0000
Cd 0.2710 0.1089 0.3799
Cd 0.2710 0.8911 0.1621
Cd 0.4926 0.1334 0.0000
Cd 0.4926 0.4926 0.3592
Cd 0.5074 0.5074 0.6408
Cd 0.5074 0.8666 0.0000
Cd 0.7290 0.1089 0.8379
Cd 0.7290 0.8911 0.6201
Cd 0.8666 0.5074 0.0000
Cd 0.8666 0.8666 0.3592
Cd 0.8911 0.2710 0.1621
Cd 0.8911 0.7290 0.6201
Pb 0.2338 0.5000 0.7338
Pb 0.5000 0.2338 0.7338
Pb 0.5000 0.7662 0.2662
Pb 0.7662 0.5000 0.2662


BaCdPb3: simulated powder XRD pattern (CuKα), based on the PBE geometry in Alexandria.
Neutral-atom scattering factors, no anomalous dispersion.

Main lines, by angle (2θ = 10–80°):
| Position (°2θ) | I_rel |
| --- | --- |
| 17.7 | 145 |
| 21.9 | 238 |
| 24.9 | 234 |
| 25.3 | 179 |
| 28.3 | 163 |
| 31.3 | 1000 |
| 35.9 | 235 |
| 36.0 | 119 |
| 38.2 | 162 |
| 40.0 | 235 |
| 40.5 | 113 |
| 61.6 | 195 |

Structure:
a = 6.9683 Å, b = 7.0284 Å, c = 9.9682 Å
α = 90.00°, β = 134.24°, γ = 90.00°
Positions (direct):
Ba 0.0000 0.2277 0.0000
Ba 0.0000 0.7723 0.5000
Cd 0.6736 0.3865 0.1743
Cd 0.6736 0.6135 0.6743
Pb 0.2685 0.2744 0.5172
Pb 0.2685 0.7256 0.0172
Pb 0.3799 0.0947 0.8793
Pb 0.3799 0.9053 0.3793
Pb 0.7670 0.2743 0.5184
Pb 0.7670 0.7257 0.0184


Ba3Cd9Pb2: simulated powder XRD pattern (CuKα), based on the PBE geometry in Alexandria.
Neutral-atom scattering factors, no anomalous dispersion.

Main lines, by angle (2θ = 10–80°):
| Position (°2θ) | I_rel |
| --- | --- |
| 29.8 | 1000 |
| 30.3 | 137 |
| 30.5 | 319 |
| 32.6 | 344 |
| 34.4 | 162 |
| 34.7 | 445 |
| 35.8 | 271 |
| 38.7 | 174 |
| 42.3 | 102 |
| 46.9 | 115 |
| 50.6 | 198 |
| 59.1 | 174 |

Structure:
a = 9.6222 Å, b = 9.6222 Å, c = 9.6222 Å
α = 148.79°, β = 111.77°, γ = 76.93°
Positions (direct):
Ba 0.0000 0.0000 0.0000
Ba 0.3042 0.3042 0.0000
Ba 0.6958 0.6958 0.0000
Cd 0.0311 0.6665 0.3646
Cd 0.1398 0.8589 0.2809
Cd 0.3019 0.6665 0.6354
Cd 0.4219 0.1411 0.2809
Cd 0.5000 0.0000 0.5000
Cd 0.5781 0.8589 0.7191
Cd 0.6981 0.3335 0.3646
Cd 0.8602 0.1411 0.7191
Cd 0.9689 0.3335 0.6354
Pb 0.2966 0.5000 0.7966
Pb 0.7034 0.5000 0.2034


Ba2Cd10Pb: simulated powder XRD pattern (CuKα), based on the PBE geometry in Alexandria.
Neutral-atom scattering factors, no anomalous dispersion.

Main lines, by angle (2θ = 10–80°):
| Position (°2θ) | I_rel |
| --- | --- |
| 28.8 | 191 |
| 29.4 | 152 |
| 29.8 | 1000 |
| 31.7 | 197 |
| 32.1 | 161 |
| 34.0 | 161 |
| 34.2 | 343 |
| 35.8 | 111 |
| 36.2 | 168 |
| 37.8 | 173 |
| 40.0 | 190 |
| 59.8 | 133 |

Structure:
a = 5.3186 Å, b = 7.6489 Å, c = 18.3722 Å
α = 90.00°, β = 97.03°, γ = 90.00°
Positions (direct):
Ba 0.2204 0.2444 0.1408
Ba 0.2204 0.2556 0.6408
Ba 0.7796 0.7444 0.3592
Ba 0.7796 0.7556 0.8592
Cd 0.0216 0.6888 0.0619
Cd 0.0216 0.8112 0.5619
Cd 0.2467 0.7378 0.2185
Cd 0.2467 0.7622 0.7185
Cd 0.2558 0.5528 0.4747
Cd 0.2558 0.9472 0.9747
Cd 0.2759 0.0690 0.8231
Cd 0.2759 0.4310 0.3231
Cd 0.2810 0.0425 0.3215
Cd 0.2810 0.4575 0.8215
Cd 0.7190 0.5425 0.1785
Cd 0.7190 0.9575 0.6785
Cd 0.7241 0.5690 0.6769
Cd 0.7241 0.9310 0.1769
Cd 0.7442 0.0528 0.0253
Cd 0.7442 0.4472 0.5253
Cd 0.7533 0.2378 0.2815
Cd 0.7533 0.2622 0.7815
Cd 0.9784 0.1888 0.4381
Cd 0.9784 0.3112 0.9381
Pb 0.5000 0.0000 0.5000
Pb 0.5000 0.5000 0.0000


BaCdPd2Pb2: simulated powder XRD pattern (CuKα), based on the PBE geometry in Alexandria.
Neutral-atom scattering factors, no anomalous dispersion.

Main lines, by angle (2θ = 10–80°):
| Position (°2θ) | I_rel |
| --- | --- |
| 13.4 | 229 |
| 24.7 | 436 |
| 28.2 | 159 |
| 32.3 | 1000 |
| 35.2 | 709 |
| 36.9 | 236 |
| 48.5 | 706 |
| 50.6 | 252 |
| 61.4 | 161 |
| 67.7 | 209 |
| 72.7 | 233 |
| 78.6 | 139 |

Structure:
a = 5.0996 Å, b = 5.0996 Å, c = 6.5969 Å
α = 90.00°, β = 90.00°, γ = 90.00°
Positions (direct):
Ba 0.0000 0.0000 0.0000
Cd 0.0000 0.0000 0.5000
Pd 0.0000 0.5000 0.5000
Pd 0.5000 0.0000 0.5000
Pb 0.5000 0.5000 0.2561
Pb 0.5000 0.5000 0.7439


BaCd2PdPb: simulated powder XRD pattern (CuKα), based on the PBE geometry in Alexandria.
Neutral-atom scattering factors, no anomalous dispersion.

Main lines, by angle (2θ = 10–80°):
| Position (°2θ) | I_rel |
| --- | --- |
| 14.5 | 130 |
| 28.6 | 193 |
| 28.8 | 127 |
| 30.0 | 1000 |
| 37.0 | 273 |
| 37.7 | 260 |
| 39.6 | 297 |
| 41.5 | 133 |
| 52.3 | 110 |
| 53.9 | 183 |
| 62.4 | 161 |
| 63.3 | 118 |

Structure:
a = 6.9987 Å, b = 6.9987 Å, c = 6.9987 Å
α = 140.11°, β = 139.40°, γ = 58.23°
Positions (direct):
Ba 0.0000 0.0000 0.0000
Cd 0.6053 0.6053 0.0000
Cd 0.7624 0.2624 0.5000
Pd 0.3824 0.3824 0.0000
Pb 0.2625 0.7625 0.5000